1.
This entry pairs a crystal structure of GdTa4O12 with its computed XRD peak list. Radiation: Cu Kα (λ = 1.5418 Å). Structure: a DFT-relaxed cell (GGA-PBE, the Materials Project).
Lines closer than 0.1° are merged.

Atomic structure:
Cell lengths 7.9430, 5.5884, 5.5884 Å; angles 89.95, 90.00, 90.00 degrees
Atoms (fractional coordinates):
1 Gd 0.0000 0.0000 0.0000
2 Ta 0.2573 0.0341 0.5286
3 Ta 0.2573 0.5286 0.0341
4 Ta 0.7427 0.0341 0.5286
5 Ta 0.7427 0.5286 0.0341
6 O 0.0000 0.0387 0.5568
7 O 0.0000 0.5568 0.0387
8 O 0.2265 0.7998 0.7998
9 O 0.2283 0.2754 0.8005
10 O 0.2283 0.8005 0.2754
11 O 0.2362 0.2847 0.2847
12 O 0.5000 0.0270 0.5471
13 O 0.5000 0.5471 0.0270
14 O 0.7638 0.2847 0.2847
15 O 0.7717 0.2754 0.8005
16 O 0.7717 0.8005 0.2754
17 O 0.7735 0.7998 0.7998

Top 10 peaks for 5° ≤ 2θ ≤ 70°, in order of falling intensity:
- 2θ 31.98, d 2.799, I 100
- 2θ 22.50, d 3.952, I 52
- 2θ 57.04, d 1.615, I 26
- 2θ 22.39, d 3.972, I 25
- 2θ 51.70, d 1.768, I 23
- 2θ 45.93, d 1.976, I 21
- 2θ 56.89, d 1.619, I 14
- 2θ 66.79, d 1.401, I 12
- 2θ 51.51, d 1.774, I 11
- 2θ 45.69, d 1.986, I 10

=====

2.
This entry pairs a crystal structure of Tb4MgP4O16 with its computed XRD peak list. Radiation: Cu Kα (λ = 1.5418 Å). Structure: a DFT-relaxed cell (GGA-PBE, the Materials Project).
Lines closer than 0.1° are merged.

Atomic structure:
Cell lengths 6.5952, 6.6530, 7.7655 Å; angles 86.73, 81.71, 85.34 degrees
Atoms (fractional coordinates):
1 Tb 0.0000 0.0000 0.0000
2 Tb 0.1133 0.6836 0.4314
3 Tb 0.3502 0.1695 0.6531
4 Tb 0.5942 0.4414 0.0119
5 Mg 0.7081 0.9368 0.3328
6 P 0.1115 0.4797 0.0227
7 P 0.4324 0.9449 0.0960
8 P 0.5601 0.6455 0.5753
9 P 0.8859 0.1628 0.6207
10 O 0.0234 0.9591 0.6113
11 O 0.0282 0.6737 0.9339
12 O 0.0434 0.3271 0.5683
13 O 0.2279 0.5143 0.1785
14 O 0.2277 0.9376 0.2214
15 O 0.2834 0.3644 0.8965
16 O 0.3686 0.9712 0.9117
17 O 0.4125 0.4928 0.5256
18 O 0.4471 0.8566 0.5294
19 O 0.5534 0.1219 0.1465
20 O 0.5778 0.7546 0.1238
21 O 0.5988 0.6144 0.7633
22 O 0.7111 0.1616 0.5071
23 O 0.7677 0.6473 0.4529
24 O 0.7754 0.1857 0.8118
25 O 0.9296 0.3437 0.0808

Top 10 peaks for 5° ≤ 2θ ≤ 70°, in order of falling intensity:
- 2θ 23.16, d 3.840, I 100
- 2θ 28.86, d 3.093, I 87
- 2θ 20.35, d 4.364, I 74
- 2θ 29.67, d 3.011, I 68
- 2θ 33.51, d 2.674, I 62
- 2θ 29.87, d 2.991, I 56
- 2θ 31.72, d 2.821, I 50
- 2θ 18.09, d 4.905, I 46
- 2θ 22.31, d 3.984, I 41
- 2θ 26.30, d 3.389, I 36

=====

3.
This entry pairs a crystal structure of TiI3 with its computed XRD peak list. Radiation: Cu Kα (λ = 1.5418 Å). Structure: a DFT-relaxed cell (GGA-PBE, the Materials Project).
Lines closer than 0.1° are merged.

Atomic structure:
Cell lengths 7.7445, 7.7445, 6.4196 Å; angles 90.00, 90.00, 120.00 degrees
Atoms (fractional coordinates):
1 Ti 0.0000 0.0000 0.0000
2 Ti 0.0000 0.0000 0.5000
3 I 0.0000 0.2959 0.2500
4 I 0.0000 0.7041 0.7500
5 I 0.2959 0.0000 0.2500
6 I 0.2959 0.2959 0.7500
7 I 0.7041 0.0000 0.7500
8 I 0.7041 0.7041 0.2500

Top 10 peaks for 5° ≤ 2θ ≤ 70°, in order of falling intensity:
- 2θ 26.89, d 3.316, I 100
- 2θ 13.20, d 6.707, I 31
- 2θ 36.36, d 2.471, I 23
- 2θ 40.34, d 2.236, I 23
- 2θ 48.61, d 1.873, I 19
- 2θ 27.79, d 3.210, I 17
- 2θ 38.17, d 2.358, I 14
- 2θ 49.70, d 1.835, I 14
- 2θ 22.97, d 3.872, I 13
- 2θ 49.15, d 1.854, I 12

=====

4.
This entry pairs a crystal structure of ZnReN2 with its computed XRD peak list. Radiation: Cu Kα (λ = 1.5418 Å). Structure: a DFT-relaxed cell (GGA-PBE, the Materials Project).
Lines closer than 0.1° are merged.

Atomic structure:
Cell lengths 5.6730, 6.4219, 5.5363 Å; angles 90.00, 90.00, 90.00 degrees
Atoms (fractional coordinates):
1 Zn 0.0824 0.1127 0.0000
2 Zn 0.4176 0.6127 0.5000
3 Zn 0.5824 0.3873 0.0000
4 Zn 0.9176 0.8873 0.5000
5 Re 0.0538 0.6227 0.9913
6 Re 0.4462 0.1227 0.4913
7 Re 0.5538 0.8773 0.9913
8 Re 0.9462 0.3773 0.4913
9 N 0.0786 0.6293 0.3403
10 N 0.1197 0.1343 0.3716
11 N 0.3803 0.6343 0.8716
12 N 0.4214 0.1293 0.8403
13 N 0.5786 0.8707 0.3403
14 N 0.6197 0.3657 0.3716
15 N 0.8803 0.8657 0.8716
16 N 0.9214 0.3707 0.8403

Top 10 peaks for 5° ≤ 2θ ≤ 70°, in order of falling intensity:
- 2θ 36.00, d 2.495, I 100
- 2θ 32.34, d 2.768, I 43
- 2θ 60.08, d 1.540, I 28
- 2θ 35.56, d 2.524, I 28
- 2θ 21.19, d 4.193, I 27
- 2θ 31.54, d 2.836, I 26
- 2θ 20.89, d 4.252, I 24
- 2θ 32.03, d 2.794, I 18
- 2θ 66.60, d 1.404, I 17
- 2θ 56.47, d 1.629, I 17